(1)
CsNa2SeCl: theoretical X-ray powder pattern (Cu Kα (λ = 1.5418 Å)), based on a structure optimized by DFT (PBE).
Neutral-atom scattering factors, no anomalous dispersion.

Structural model:
Lattice parameters (Å, degrees): 4.7636 4.7636 15.0843 90.00 90.00 90.00
Space group I4mm (No. 107)
One atom of each set of equivalent atoms:
Cs 0.0000 0.0000 0.0000
Na 0.0000 0.5000 0.2239
Se 0.0000 0.0000 0.6216
Cl 0.0000 0.0000 0.3230

The 8 most intense peaks (10 to 90 degrees two-theta), in order of falling intensity:
- hkl 1 0 3, 25.76°, d 3.458, I = 100
- hkl 2 1 3, 46.28°, d 1.962, I = 45
- hkl 1 1 2, 29.03°, d 3.076, I = 36
- hkl 1 1 0, 26.46°, d 3.368, I = 35
- hkl 2 0 0, 37.77°, d 2.382, I = 29
- hkl 0 0 2, 11.73°, d 7.542, I = 23
- hkl 1 0 5, 35.21°, d 2.549, I = 23
- hkl 1 1 6, 45.00°, d 2.015, I = 23

---

(2)
CsNa2Sn2Cl7: theoretical X-ray powder pattern (Cu Kα (λ = 1.5418 Å)), based on a structure optimized by DFT (PBE).
Neutral-atom scattering factors, no anomalous dispersion.

Structural model:
Lattice parameters (Å, degrees): 5.6742 23.0339 5.7359 90.00 90.00 90.00
Space group Imm2 (No. 44)
One atom of each set of equivalent atoms:
Cs 0.0000 0.0000 0.0000
Na 0.0000 0.2501 0.4912
Sn 0.0000 0.3787 0.9873
Cl 0.0000 0.1231 0.4882
Cl 0.0000 0.2553 0.9895
Cl 0.0000 0.3771 0.5246
Cl 0.0000 0.5000 0.9772

The 8 most intense peaks (10 to 90 degrees two-theta), in order of falling intensity:
- hkl 2 8 0, 44.90°, d 2.019, I = 100
- hkl 0 8 0, 31.06°, d 2.879, I = 73
- hkl 0 0 2, 31.19°, d 2.868, I = 72
- hkl 2 0 0, 31.53°, d 2.837, I = 72
- hkl 0 3 1, 19.32°, d 4.595, I = 70
- hkl 1 3 0, 19.45°, d 4.563, I = 68
- hkl 1 0 1, 22.04°, d 4.034, I = 62
- hkl 2 8 2, 55.64°, d 1.652, I = 51

---

(3)
Cs2NaTeCl6: theoretical X-ray powder pattern (Cu Kα (λ = 1.5418 Å)), based on a structure optimized by DFT (PBE).
Neutral-atom scattering factors, no anomalous dispersion.

Structural model:
Lattice parameters (Å, degrees): 7.8777 7.8777 10.7867 90.00 90.00 90.00
Space group I4/mmm (No. 139)
One atom of each set of equivalent atoms:
Cs 0.0000 0.5000 0.2500
Na 0.0000 0.0000 0.0000
Te 0.0000 0.0000 0.5000
Cl 0.0000 0.0000 0.2627
Cl 0.2493 0.2493 0.0000

The 8 most intense peaks (10 to 90 degrees two-theta), in order of falling intensity:
- hkl 1 1 2, 22.95°, d 3.875, I = 100
- hkl 2 2 0, 32.14°, d 2.785, I = 74
- hkl 2 0 2, 28.05°, d 3.181, I = 60
- hkl 2 0 0, 22.57°, d 3.939, I = 52
- hkl 3 1 2, 39.86°, d 2.262, I = 48
- hkl 2 2 4, 46.90°, d 1.937, I = 48
- hkl 0 0 4, 33.22°, d 2.697, I = 33
- hkl 1 0 1, 13.92°, d 6.362, I = 31

---

(4)
CsNaTlCl6: theoretical X-ray powder pattern (Cu Kα (λ = 1.5418 Å)), based on a structure optimized by DFT (PBE).
Neutral-atom scattering factors, no anomalous dispersion.

Structural model:
Lattice parameters (Å, degrees): 5.4400 7.2837 7.9971 88.68 89.46 68.37
Space group P1 (No. 1)
One atom of each set of equivalent atoms:
Cs 0.0000 0.0000 0.0000
Na 0.2949 0.3916 0.5039
Tl 0.5763 0.7973 0.5058
Cl 0.9996 0.5493 0.8069
Cl 0.0894 0.8044 0.4311
Cl 0.4608 0.0726 0.2692
Cl 0.4757 0.0569 0.7192
Cl 0.4979 0.5548 0.7998
Cl 0.7622 0.4704 0.3711

The 8 most intense peaks (10 to 90 degrees two-theta), in order of falling intensity:
- hkl 1 0 1, 20.74°, d 4.284, I = 100
- hkl 0 1 0, 13.08°, d 6.769, I = 95
- hkl 1 1 -1, 21.00°, d 4.231, I = 52
- hkl 0 1 1, 16.98°, d 5.221, I = 52
- hkl 0 0 1, 11.07°, d 7.995, I = 50
- hkl 1 0 -1, 20.79°, d 4.272, I = 46
- hkl 0 2 1, 28.42°, d 3.140, I = 42
- hkl 0 1 -2, 26.13°, d 3.411, I = 39